1.
For ErMg2S3, a DFT-relaxed cell (PBE, OQMD) gives the theoretical XRD peak list in this record (Cu Kα X-rays).
Lines closer than 0.1° are merged.

Peak list (8 most intense, 2θ from 10° to 80°, most intense first)
| 2θ/deg | d/Å | I (rel.) |
| --- | --- | --- |
| 33.83 | 2.650 | 100 |
| 29.42 | 3.036 | 41 |
| 47.99 | 1.896 | 34 |
| 49.19 | 1.852 | 28 |
| 27.81 | 3.208 | 27 |
| 40.23 | 2.242 | 20 |
| 18.88 | 4.701 | 20 |
| 61.04 | 1.518 | 17 |

```
6
Lattice="3.7043 0.0000 0.0000 -1.8521 3.2080 0.0000 0.0000 0.0000 9.4012" Properties=species:S:1:pos:R:3 pbc="T T T"
Er 0.0000 0.0000 0.0000
Mg 0.0000 2.1387 6.2019
Mg 1.8521 1.0693 3.1993
S 0.0000 0.0000 4.7006
S 0.0000 2.1387 1.7170
S 1.8521 1.0693 7.6841
```


2.
For ErMg3Sn, a DFT-relaxed cell (PBE, OQMD) gives the theoretical XRD peak list in this record (Cu Kα X-rays).
Lines closer than 0.1° are merged.

Peak list (8 most intense, 2θ from 10° to 80°, most intense first)
| 2θ/deg | d/Å | I (rel.) |
| --- | --- | --- |
| 21.63 | 4.108 | 100 |
| 26.19 | 3.402 | 63 |
| 34.22 | 2.620 | 62 |
| 43.60 | 2.076 | 33 |
| 44.09 | 2.054 | 31 |
| 34.82 | 2.577 | 30 |
| 52.00 | 1.758 | 20 |
| 53.90 | 1.701 | 17 |

```
15
Lattice="6.8044 0.0000 0.0000 -3.4022 5.8928 0.0000 0.0000 0.0000 11.4610" Properties=species:S:1:pos:R:3 pbc="T T T"
Er 0.0000 0.0000 0.0000
Er 0.0000 3.9285 7.6407
Er 3.4022 1.9643 3.8203
Mg -1.7011 2.9464 0.0000
Mg 0.0000 1.9643 3.8203
Mg -1.7011 4.9107 3.8203
Mg 1.7011 0.9821 7.6407
Mg 3.4022 0.0000 0.0000
Mg 1.7011 2.9464 0.0000
Mg 1.7011 4.9107 3.8203
Mg 5.1033 0.9821 7.6407
Mg 3.4022 3.9285 7.6407
Sn 0.0000 0.0000 5.7305
Sn 0.0000 3.9285 1.9102
Sn 3.4022 1.9643 9.5508
```


3.
For TbErMg2Sn2, a DFT-relaxed cell (PBE, OQMD) gives the theoretical XRD peak list in this record (Cu Kα X-rays).
Lines closer than 0.1° are merged.

Peak list (8 most intense, 2θ from 10° to 80°, most intense first)
| 2θ/deg | d/Å | I (rel.) |
| --- | --- | --- |
| 28.78 | 3.102 | 100 |
| 36.78 | 2.443 | 79 |
| 41.16 | 2.193 | 56 |
| 22.41 | 3.966 | 41 |
| 30.96 | 2.889 | 38 |
| 34.90 | 2.571 | 33 |
| 11.15 | 7.933 | 33 |
| 45.05 | 2.012 | 32 |

```
12
Lattice="4.3863 0.0000 0.0000 0.0000 4.3863 0.0000 0.0000 0.0000 15.8658" Properties=species:S:1:pos:R:3 pbc="T T T"
Tb 0.0000 0.0000 0.0000
Tb 2.1932 2.1932 7.9329
Er 0.0000 0.0000 5.2933
Er 2.1932 2.1932 13.2262
Mg 0.0000 2.1932 2.6539
Mg 0.0000 2.1932 10.5868
Mg 2.1932 0.0000 2.6539
Mg 2.1932 0.0000 10.5868
Sn 0.0000 0.0000 8.4237
Sn 0.0000 0.0000 12.7359
Sn 2.1932 2.1932 0.4908
Sn 2.1932 2.1932 4.8030
```


4.
For Er2TmMg3Tl2Zn, a DFT-relaxed cell (PBE, OQMD) gives the theoretical XRD peak list in this record (Cu Kα X-rays).
Lines closer than 0.1° are merged.

Peak list (8 most intense, 2θ from 10° to 80°, most intense first)
| 2θ/deg | d/Å | I (rel.) |
| --- | --- | --- |
| 31.13 | 2.873 | 100 |
| 34.15 | 2.626 | 80 |
| 13.70 | 6.465 | 41 |
| 23.84 | 3.733 | 32 |
| 41.92 | 2.155 | 24 |
| 40.06 | 2.251 | 24 |
| 36.78 | 2.444 | 21 |
| 42.07 | 2.148 | 20 |

```
9
Lattice="4.5018 0.0000 0.0000 0.0000 6.4580 3.7368 0.0000 -6.4580 3.7368" Properties=species:S:1:pos:R:3 pbc="T T T"
Er 0.0000 -3.7666 3.7368
Er 0.0000 3.7666 3.7368
Tm 0.0000 0.0000 2.8023
Mg 2.2509 0.0000 0.2023
Mg 2.2509 -1.5249 5.0320
Mg 2.2509 1.5249 5.0320
Tl 2.2509 -2.1473 2.1796
Tl 2.2509 2.1473 2.1796
Zn 0.0000 0.0000 5.9073
```


5.
For Er2Tm5Mg, a DFT-relaxed cell (PBE, OQMD) gives the theoretical XRD peak list in this record (Cu Kα X-rays).
Lines closer than 0.1° are merged.

Peak list (8 most intense, 2θ from 10° to 80°, most intense first)
| 2θ/deg | d/Å | I (rel.) |
| --- | --- | --- |
| 33.65 | 2.663 | 100 |
| 29.39 | 3.039 | 25 |
| 32.38 | 2.765 | 25 |
| 62.72 | 1.481 | 22 |
| 58.57 | 1.576 | 21 |
| 52.13 | 1.755 | 19 |
| 44.29 | 2.045 | 16 |
| 63.49 | 1.465 | 16 |

```
16
Lattice="5.5296 0.0000 0.0000 0.0000 7.0178 0.0000 0.0000 0.0000 12.1563" Properties=species:S:1:pos:R:3 pbc="T T T"
Er 0.0000 0.0000 0.0000
Er 0.0000 3.5089 6.0781
Er 2.7648 0.0000 4.0926
Er 2.7648 3.5089 10.1707
Tm 0.0000 0.0000 6.0863
Tm 0.0000 1.7563 3.0441
Tm 0.0000 1.7526 9.1222
Tm 0.0000 3.5089 0.0082
Tm 0.0000 5.2615 3.0441
Tm 0.0000 5.2652 9.1222
Tm 2.7648 1.7244 7.0834
Tm 2.7648 1.7845 1.0053
Tm 2.7648 5.2333 1.0053
Tm 2.7648 5.2934 7.0834
Mg 2.7648 0.0000 10.1246
Mg 2.7648 3.5089 4.0465
```


6.
For ErTmMg2, a DFT-relaxed cell (PBE, OQMD) gives the theoretical XRD peak list in this record (Cu Kα X-rays).
Lines closer than 0.1° are merged.

Peak list (8 most intense, 2θ from 10° to 80°, most intense first)
| 2θ/deg | d/Å | I (rel.) |
| --- | --- | --- |
| 34.94 | 2.568 | 100 |
| 15.19 | 5.834 | 64 |
| 22.40 | 3.969 | 59 |
| 34.36 | 2.610 | 57 |
| 33.08 | 2.708 | 40 |
| 30.65 | 2.917 | 26 |
| 30.96 | 2.889 | 26 |
| 64.52 | 1.444 | 23 |

```
16
Lattice="5.4154 0.0000 0.0000 0.0000 11.9146 0.0000 0.0000 0.0000 6.6911" Properties=species:S:1:pos:R:3 pbc="T T T"
Er 1.3539 1.9828 0.0000
Er 1.3539 7.9401 3.3456
Er 4.0616 3.9746 3.3456
Er 4.0616 9.9319 0.0000
Tm 1.3539 5.0052 5.1213
Tm 1.3539 10.9625 1.7757
Tm 4.0616 0.9521 1.7757
Tm 4.0616 6.9095 5.1213
Mg 1.3539 2.0403 3.3497
Mg 1.3539 4.9718 1.7137
Mg 1.3539 7.9976 0.0042
Mg 1.3539 10.9292 5.0592
Mg 4.0616 0.9855 5.0592
Mg 4.0616 3.9170 0.0042
Mg 4.0616 6.9428 1.7137
Mg 4.0616 9.8743 3.3497
```


7.
For ErTmMg2, a DFT-relaxed cell (PBE, OQMD) gives the theoretical XRD peak list in this record (Cu Kα X-rays).
Lines closer than 0.1° are merged.

Peak list (8 most intense, 2θ from 10° to 80°, most intense first)
| 2θ/deg | d/Å | I (rel.) |
| --- | --- | --- |
| 33.70 | 2.660 | 100 |
| 23.79 | 3.740 | 64 |
| 33.90 | 2.645 | 49 |
| 60.52 | 1.530 | 37 |
| 23.52 | 3.783 | 33 |
| 41.67 | 2.168 | 30 |
| 60.14 | 1.539 | 19 |
| 48.69 | 1.870 | 18 |

```
4
Lattice="3.7833 0.0000 0.0000 0.0000 5.2890 0.0000 0.0000 0.0000 5.2894" Properties=species:S:1:pos:R:3 pbc="T T T"
Er 0.0000 0.0000 0.0000
Tm 0.0000 2.6445 2.6630
Mg 1.8916 0.0000 2.6427
Mg 1.8916 2.6445 0.0205
```


8.
For Y2ErMg, a DFT-relaxed cell (PBE, OQMD) gives the theoretical XRD peak list in this record (Cu Kα X-rays).
Lines closer than 0.1° are merged.

Peak list (8 most intense, 2θ from 10° to 80°, most intense first)
| 2θ/deg | d/Å | I (rel.) |
| --- | --- | --- |
| 33.55 | 2.671 | 100 |
| 33.69 | 2.660 | 47 |
| 32.16 | 2.784 | 37 |
| 21.66 | 4.103 | 35 |
| 58.25 | 1.584 | 30 |
| 14.57 | 6.080 | 24 |
| 29.34 | 3.044 | 23 |
| 62.67 | 1.482 | 21 |

```
16
Lattice="5.5673 0.0000 0.0000 0.0000 12.1134 0.0000 0.0000 0.0000 7.0432" Properties=species:S:1:pos:R:3 pbc="T T T"
Y 1.3918 0.9848 0.0000
Y 1.3918 4.0563 5.2976
Y 1.3918 7.0416 3.5216
Y 1.3918 10.1131 1.7760
Y 4.1755 2.0004 1.7760
Y 4.1755 5.0719 3.5216
Y 4.1755 8.0571 5.2976
Y 4.1755 11.1286 0.0000
Er 1.3918 4.0609 1.7764
Er 1.3918 10.1176 5.2980
Er 4.1755 1.9959 5.2980
Er 4.1755 8.0526 1.7764
Mg 1.3918 1.0467 3.5433
Mg 1.3918 7.1034 0.0217
Mg 4.1755 5.0100 0.0217
Mg 4.1755 11.0667 3.5433
```


9.
For Y2ErMg, a DFT-relaxed cell (PBE, OQMD) gives the theoretical XRD peak list in this record (Cu Kα X-rays).
Lines closer than 0.1° are merged.

Peak list (8 most intense, 2θ from 10° to 80°, most intense first)
| 2θ/deg | d/Å | I (rel.) |
| --- | --- | --- |
| 33.45 | 2.679 | 100 |
| 33.75 | 2.656 | 44 |
| 32.17 | 2.782 | 35 |
| 29.21 | 3.057 | 22 |
| 21.71 | 4.094 | 22 |
| 58.18 | 1.586 | 20 |
| 62.68 | 1.482 | 20 |
| 52.23 | 1.751 | 17 |

```
16
Lattice="5.5644 0.0000 0.0000 0.0000 7.0872 0.0000 0.0000 0.0000 12.0881" Properties=species:S:1:pos:R:3 pbc="T T T"
Y 0.0000 0.0000 0.0000
Y 0.0000 1.7699 3.0346
Y 0.0000 1.7737 9.0787
Y 0.0000 3.5436 6.0441
Y 0.0000 5.3172 3.0346
Y 0.0000 5.3135 9.0787
Y 2.7822 0.0000 8.1128
Y 2.7822 3.5436 2.0688
Er 0.0000 0.0000 6.0373
Er 0.0000 3.5436 12.0813
Er 2.7822 0.0000 2.1035
Er 2.7822 3.5436 8.1475
Mg 2.7822 1.7650 5.0497
Mg 2.7822 1.7786 11.0938
Mg 2.7822 5.3086 11.0938
Mg 2.7822 5.3221 5.0497
```


10.
For TbErSi2Mo2N, a DFT-relaxed cell (PBE, OQMD) gives the theoretical XRD peak list in this record (Cu Kα X-rays).
Lines closer than 0.1° are merged.

Peak list (8 most intense, 2θ from 10° to 80°, most intense first)
| 2θ/deg | d/Å | I (rel.) |
| --- | --- | --- |
| 35.87 | 2.503 | 100 |
| 34.15 | 2.626 | 86 |
| 31.40 | 2.849 | 45 |
| 32.98 | 2.716 | 33 |
| 49.07 | 1.857 | 31 |
| 39.91 | 2.259 | 31 |
| 25.93 | 3.436 | 24 |
| 25.02 | 3.559 | 20 |

```
14
Lattice="11.1724 0.0000 0.0000 0.0000 3.7135 0.0000 -4.1724 0.0000 5.7856" Properties=species:S:1:pos:R:3 pbc="T T T"
Tb 0.0000 0.0000 0.0000
Tb 5.5862 1.8568 0.0000
Er -0.8208 0.0000 3.4089
Er 4.7654 1.8568 3.4089
Si -1.6975 1.8568 5.5348
Si 2.3027 0.0000 3.6563
Si 3.8888 0.0000 5.5348
Si 7.8889 1.8568 3.6563
Mo 1.5134 1.8568 2.1980
Mo 3.2579 0.0000 1.2238
Mo 7.0996 0.0000 2.1980
Mo 8.8441 1.8568 1.2238
N -0.4126 1.8568 1.7327
N 5.1736 0.0000 1.7327
```


11.
For YErSi2Mo2N, a DFT-relaxed cell (PBE, OQMD) gives the theoretical XRD peak list in this record (Cu Kα X-rays).
Lines closer than 0.1° are merged.

Peak list (8 most intense, 2θ from 10° to 80°, most intense first)
| 2θ/deg | d/Å | I (rel.) |
| --- | --- | --- |
| 35.90 | 2.502 | 100 |
| 34.14 | 2.626 | 86 |
| 31.42 | 2.847 | 43 |
| 49.04 | 1.858 | 32 |
| 39.99 | 2.255 | 31 |
| 33.01 | 2.714 | 30 |
| 38.41 | 2.344 | 21 |
| 15.34 | 5.776 | 20 |

```
14
Lattice="11.1626 0.0000 0.0000 0.0000 3.7171 0.0000 -4.1589 0.0000 5.7761" Properties=species:S:1:pos:R:3 pbc="T T T"
Y 0.0000 0.0000 0.0000
Y 5.5813 1.8586 0.0000
Er -0.8087 0.0000 3.4137
Er 4.7726 1.8586 3.4137
Si -1.6813 1.8586 5.5312
Si 2.3080 0.0000 3.6612
Si 3.9000 0.0000 5.5312
Si 7.8893 1.8586 3.6612
Mo 1.5202 1.8586 2.2042
Mo 3.2587 0.0000 1.2246
Mo 7.1015 0.0000 2.2042
Mo 8.8400 1.8586 1.2246
N -0.4056 1.8586 1.7345
N 5.1757 0.0000 1.7345
```


12.
For ErNbN2O, a DFT-relaxed cell (PBE, OQMD) gives the theoretical XRD peak list in this record (Cu Kα X-rays).
Lines closer than 0.1° are merged.

Peak list (8 most intense, 2θ from 10° to 80°, most intense first)
| 2θ/deg | d/Å | I (rel.) |
| --- | --- | --- |
| 32.19 | 2.781 | 100 |
| 32.85 | 2.726 | 23 |
| 31.37 | 2.852 | 20 |
| 58.24 | 1.584 | 20 |
| 46.06 | 1.971 | 17 |
| 25.29 | 3.522 | 13 |
| 46.26 | 1.963 | 13 |
| 52.27 | 1.750 | 12 |

```
20
Lattice="5.7036 0.0000 0.0000 0.0000 7.8503 0.0000 0.0000 0.0000 5.4521" Properties=species:S:1:pos:R:3 pbc="T T T"
Er 0.3537 1.9626 0.1362
Er 2.4980 5.8877 2.8623
Er 3.2055 1.9626 2.5899
Er 5.3498 5.8877 5.3159
Nb 0.0000 0.0000 2.7261
Nb 0.0000 3.9252 2.7261
Nb 2.8518 0.0000 0.0000
Nb 2.8518 3.9252 0.0000
N 1.1664 4.4358 4.3488
N 1.1664 7.3397 4.3488
N 1.6854 0.5106 1.6228
N 1.6854 3.4146 1.6228
N 4.0182 4.4358 3.8294
N 4.0182 7.3397 3.8294
N 4.5371 0.5106 1.1033
N 4.5371 3.4146 1.1033
O 0.2571 5.8877 2.0323
O 2.5946 1.9626 4.7584
O 3.1089 5.8877 0.6937
O 5.4464 1.9626 3.4198
```